Theoretical PXRD pattern of CoHgF5 for CuKα, from a cell relaxed with PBE+U.
Kinematic intensities with the Lorentz-polarization factor, no thermal factor.

Largest 12 diffraction maxima, low angle first, 2θ = 5–70°:
two_theta, intensity
17.04, 52
21.50, 91
26.43, 100
26.61, 56
34.32, 52
34.47, 31
37.00, 39
43.81, 21
46.88, 28
48.74, 22
51.87, 47
52.12, 24

Atomic structure:
```
CoHgF5
1.0
-1.951 3.350 4.133
1.951 -3.350 4.133
1.951 3.350 -4.133
Co Hg F
1 1 5
Direct
0.000 0.000 0.000 Co
0.500 0.500 0.000 Hg
0.000 0.500 0.500 F
0.224 0.224 0.000 F
0.296 0.000 0.296 F
0.704 0.000 0.704 F
0.776 0.776 0.000 F
```